# MgTiMn5P6O24
Simulated PXRD pattern, λ = 1.5418 Å (Cu Kα). Input: a DFT-relaxed cell (PBE+U, the Materials Project).

Main lines, in order of falling intensity (10° ≤ 2θ ≤ 90°):
- hkl 1 -1 1, 2θ = 20.33°, rel. 100
- hkl 0 2 1, 2θ = 20.43°, rel. 60
- hkl 1 -3 0, 2θ = 35.71°, rel. 58
- hkl 1 1 -1, 2θ = 31.60°, rel. 52
- hkl 0 1 2, 2θ = 23.55°, rel. 41
- hkl -1 1 2, 2θ = 31.93°, rel. 37
- hkl 1 2 1, 2θ = 23.82°, rel. 37
- hkl 0 1 -1, 2θ = 23.31°, rel. 34
- hkl 2 0 3, 2θ = 35.53°, rel. 32
- hkl 2 -1 1, 2θ = 24.48°, rel. 32

Crystal structure
Lattice parameters (Å, degrees): 8.503 8.697 8.732 60.36 60.96 89.30
Fractional positions:
Mg1 0.000 0.000 0.000
Ti1 0.193 0.026 0.215
Mn1 0.240 0.384 0.495
Mn2 0.299 0.716 0.801
Mn3 0.671 0.512 0.218
Mn4 0.728 0.864 0.534
Mn5 0.804 0.232 0.783
P1 0.000 0.900 0.707
P2 0.461 0.111 0.726
P3 0.499 0.424 0.003
P4 0.527 0.829 0.285
P5 0.969 0.624 0.301
P6 0.995 0.329 0.008
O1 0.015 0.300 0.836
O2 0.029 0.475 0.436
O3 0.035 0.076 0.709
O4 0.104 0.725 0.061
O5 0.174 0.472 0.905
O6 0.175 0.834 0.663
O7 0.274 0.052 0.946
O8 0.326 0.257 0.109
O9 0.364 0.909 0.263
O10 0.439 0.271 0.559
O11 0.471 0.421 0.193
O12 0.472 0.947 0.696
O13 0.483 0.641 0.310
O14 0.489 0.613 0.851
O15 0.523 0.800 0.475
O16 0.634 0.154 0.722
O17 0.682 0.399 0.876
O18 0.720 0.965 0.087
O19 0.772 0.539 0.364
O20 0.813 0.362 0.132
O21 0.816 0.754 0.903
O22 0.957 0.787 0.336
O23 0.983 0.128 0.175
O24 0.991 0.960 0.507

=====

# MgTiMn5P6O24
Simulated PXRD pattern, λ = 1.5418 Å (Cu Kα). Input: a DFT-relaxed cell (PBE+U, the Materials Project).

Main lines, in order of falling intensity (10° ≤ 2θ ≤ 90°):
- hkl 1 -1 1, 2θ = 20.37°, rel. 100
- hkl 1 -1 0, 2θ = 23.37°, rel. 58
- hkl 2 1 2, 2θ = 23.83°, rel. 55
- hkl 1 -1 2, 2θ = 24.12°, rel. 54
- hkl 2 1 1, 2θ = 20.46°, rel. 43
- hkl 3 0 2, 2θ = 35.78°, rel. 39
- hkl 1 2 2, 2θ = 31.35°, rel. 28
- hkl 2 1 -1, 2θ = 31.98°, rel. 25
- hkl 1 -1 3, 2θ = 32.48°, rel. 23
- hkl 0 3 -1, 2θ = 35.61°, rel. 21

Crystal structure
Lattice parameters (Å, degrees): 8.682 8.716 8.795 88.59 60.47 60.28
Fractional positions:
Mg1 0.000 0.000 0.000
Ti1 0.798 0.595 0.794
Mn1 0.195 0.396 0.187
Mn2 0.234 0.871 0.638
Mn3 0.483 0.254 0.762
Mn4 0.514 0.733 0.223
Mn5 0.747 0.120 0.360
P1 0.285 0.496 0.486
P2 0.298 0.696 0.995
P3 0.695 0.790 0.499
P4 0.713 0.989 0.978
P5 0.993 0.210 0.502
P6 0.997 0.298 0.997
O1 0.049 0.587 0.653
O2 0.081 0.260 0.325
O3 0.093 0.863 0.160
O4 0.119 0.133 0.832
O5 0.166 0.319 0.995
O6 0.183 0.015 0.470
O7 0.293 0.750 0.825
O8 0.315 0.510 0.992
O9 0.317 0.404 0.317
O10 0.330 0.649 0.443
O11 0.428 0.355 0.543
O12 0.491 0.667 0.993
O13 0.527 0.794 0.468
O14 0.539 0.149 0.964
O15 0.638 0.987 0.550
O16 0.679 0.718 0.667
O17 0.688 0.823 0.983
O18 0.712 0.033 0.148
O19 0.800 0.203 0.549
O20 0.834 0.487 0.994
O21 0.871 0.251 0.166
O22 0.908 0.658 0.324
O23 0.914 0.356 0.667
O24 0.937 0.940 0.814

=====

# MgTiMn5P6O24
Simulated PXRD pattern, λ = 1.5418 Å (Cu Kα). Input: a DFT-relaxed cell (PBE+U, the Materials Project).

Main lines, in order of falling intensity (10° ≤ 2θ ≤ 90°):
- hkl -1 1 1, 2θ = 20.08°, rel. 100
- hkl 1 2 2, 2θ = 24.02°, rel. 91
- hkl 2 1 -1, 2θ = 24.18°, rel. 87
- hkl 1 2 1, 2θ = 20.32°, rel. 74
- hkl 2 1 0, 2θ = 20.55°, rel. 71
- hkl 2 1 1, 2θ = 23.57°, rel. 53
- hkl 1 -1 0, 2θ = 22.84°, rel. 53
- hkl 1 2 0, 2θ = 23.37°, rel. 52
- hkl 3 3 1, 2θ = 35.98°, rel. 44
- hkl 0 3 2, 2θ = 35.15°, rel. 35

Crystal structure
Lattice parameters (Å, degrees): 8.649 8.749 8.751 61.19 89.09 61.24
Fractional positions:
Mg1 0.000 0.000 0.000
Ti1 0.293 0.438 0.835
Mn1 0.181 0.698 0.400
Mn2 0.485 0.056 0.430
Mn3 0.647 0.757 0.860
Mn4 0.734 0.521 0.253
Mn5 0.932 0.230 0.627
P1 0.096 0.536 0.136
P2 0.204 0.925 0.630
P3 0.382 0.965 0.129
P4 0.605 0.234 0.637
P5 0.672 0.255 0.123
P6 0.900 0.536 0.637
O1 0.034 0.131 0.470
O2 0.071 0.552 0.630
O3 0.097 0.695 0.170
O4 0.144 0.943 0.796
O5 0.168 0.553 0.964
O6 0.221 0.319 0.302
O7 0.227 0.740 0.632
O8 0.229 0.918 0.172
O9 0.293 0.195 0.966
O10 0.387 0.917 0.628
O11 0.416 0.396 0.635
O12 0.483 0.930 0.298
O13 0.519 0.828 0.067
O14 0.527 0.330 0.956
O15 0.580 0.069 0.635
O16 0.598 0.194 0.290
O17 0.656 0.355 0.470
O18 0.675 0.450 0.072
O19 0.746 0.705 0.652
O20 0.770 0.116 0.801
O21 0.855 0.529 0.468
O22 0.857 0.071 0.158
O23 0.896 0.597 0.081
O24 0.946 0.314 0.794

=====

# MgTiMn5P6O24
Simulated PXRD pattern, λ = 1.5418 Å (Cu Kα). Input: a DFT-relaxed cell (PBE+U, the Materials Project).

Main lines, in order of falling intensity (10° ≤ 2θ ≤ 90°):
- hkl 1 -1 1, 2θ = 23.67°, rel. 100
- hkl -1 2 1, 2θ = 32.26°, rel. 69
- hkl 1 2 1, 2θ = 20.29°, rel. 65
- hkl 0 1 -1, 2θ = 19.97°, rel. 45
- hkl 1 3 0, 2θ = 35.15°, rel. 44
- hkl 2 1 2, 2θ = 24.14°, rel. 42
- hkl 3 1 2, 2θ = 32.89°, rel. 38
- hkl 2 1 -1, 2θ = 32.40°, rel. 20
- hkl 2 3 3, 2θ = 35.74°, rel. 19
- hkl 2 2 -2, 2θ = 48.45°, rel. 18

Crystal structure
Lattice parameters (Å, degrees): 8.581 8.751 8.752 61.06 60.71 60.84
Fractional positions:
Mg1 0.000 0.000 0.000
Ti1 0.687 0.494 0.715
Mn1 0.198 0.982 0.226
Mn2 0.256 0.620 0.855
Mn3 0.321 0.287 0.491
Mn4 0.744 0.123 0.392
Mn5 0.795 0.769 0.028
P1 0.004 0.392 0.889
P2 0.012 0.100 0.606
P3 0.482 0.884 0.823
P4 0.492 0.580 0.421
P5 0.527 0.178 0.107
P6 0.991 0.681 0.317
O1 0.024 0.538 0.925
O2 0.040 0.922 0.779
O3 0.177 0.537 0.337
O4 0.179 0.328 0.734
O5 0.194 0.149 0.510
O6 0.281 0.939 0.962
O7 0.309 0.729 0.399
O8 0.366 0.125 0.146
O9 0.489 0.716 0.793
O10 0.493 0.548 0.615
O11 0.512 0.371 0.950
O12 0.512 0.386 0.434
O13 0.519 0.035 0.634
O14 0.529 0.198 0.274
O15 0.638 0.834 0.896
O16 0.673 0.616 0.268
O17 0.724 0.032 0.047
O18 0.817 0.632 0.474
O19 0.825 0.487 0.831
O20 0.844 0.259 0.680
O21 0.963 0.882 0.290
O22 0.968 0.074 0.471
O23 0.968 0.223 0.065
O24 0.999 0.707 0.118